Structure and simulated X-ray powder pattern of Tm5Ir3 (DFT lattice parameters and positions (PBE); Cu Ka).
Peak positions follow from Bragg's law for the DFT cell and can differ from measured ones.

Most intense lines, 2θ from 10° to 80°, sorted by position:
2θ 23.3, I = 15
2θ 29.9, I = 38
2θ 33.3, I = 34
2θ 34.1, I = 41
2θ 37.4, I = 100
2θ 38.1, I = 20
2θ 39.0, I = 26
2θ 40.2, I = 13
2θ 47.3, I = 20
2θ 47.8, I = 17
2θ 60.0, I = 14
2θ 75.4, I = 16

```
data_Tm5Ir3
_cell_length_a 10.747
_cell_length_b 10.747
_cell_length_c 6.294
_cell_angle_alpha 90.00
_cell_angle_beta 90.00
_cell_angle_gamma 90.00
_symmetry_space_group_name_H-M 'P 4/n c c'
_symmetry_Int_Tables_number 130
loop_
_symmetry_equiv_pos_as_xyz
'x,y,z'
'-x,-y,-z'
'-y+1/2,x,z'
'y+1/2,-x,-z'
'-x+1/2,-y+1/2,z'
'x+1/2,y+1/2,-z'
'y,-x+1/2,z'
'-y,x+1/2,-z'
'x+1/2,-y,-z+1/2'
'-x+1/2,y,z+1/2'
'-y,-x,-z+1/2'
'y,x,z+1/2'
'-x,y+1/2,-z+1/2'
'x,-y+1/2,z+1/2'
'y+1/2,x+1/2,-z+1/2'
'-y+1/2,-x+1/2,z+1/2'
loop_
_atom_site_label
_atom_site_fract_x
_atom_site_fract_y
_atom_site_fract_z
Tm1 0.041 0.163 0.123
Tm2 0.250 0.750 0.000
Ir1 0.096 0.596 0.750
Ir2 0.250 0.250 0.376
```